# VCr5Re6
Theoretical powder X-ray diffraction pattern, CuKα. Input: a cell relaxed with GGA-PBE.

Structure:
Cell lengths 4.239, 5.983, 6.713 Å; angles 90.00, 108.31, 90.00 degrees
Space group P2/m (No. 10)
One atom of each set of equivalent atoms:
V 0.000 0.000 0.000 [1 per cell]
Cr 0.000 0.500 0.000 [1 per cell]
Cr 0.332 0.000 0.664 [2 per cell]
Cr 0.332 0.500 0.664 [2 per cell]
Re 0.166 0.250 0.333 [4 per cell]
Re 0.500 0.251 0.000 [2 per cell]

Peak list (8 most intense, 2θ from 5° to 70°, by angle)
| 2theta | d [Å] | Rel. int. |
| --- | --- | --- |
| 29.77 | 3.001 | 39.4 |
| 29.87 | 2.992 | 19.6 |
| 42.63 | 2.121 | 100.0 |
| 42.69 | 2.118 | 49.8 |
| 52.90 | 1.731 | 17.3 |
| 61.77 | 1.502 | 8.2 |
| 61.89 | 1.499 | 8.1 |
| 62.05 | 1.496 | 8.1 |